Record 1
The following is a computed X-ray diffraction stick pattern of Ho4V6O19. It was derived from a GGA+U-relaxed structure, using Cu Kα (weighted mean of Kα1 and Kα2).

Most intense lines, 5° ≤ 2θ ≤ 70°, low angle first:
d (Å)	I/Imax	h k l
3.638	49	2 2 -1
3.619	100	3 1 -1
2.825	27	1 3 -1
2.802	41	2 0 -3
2.564	42	0 2 2
2.372	15	4 2 -1
2.097	35	3 3 -3
2.089	14	0 0 3
1.739	13	1 1 3
1.630	17	1 5 1
1.619	12	4 2 1
1.616	16	3 1 -5

Cell and atoms:
```
data_Ho4V6O19
_chemical_formula_sum 'Ho8 V12 O38'
_cell_length_a 12.4929
_cell_length_b 8.9430
_cell_length_c 8.8399
_cell_angle_alpha 90.00
_cell_angle_beta 134.84
_cell_angle_gamma 90.00
_symmetry_space_group_name_H-M 'C 1 2 1'
_symmetry_Int_Tables_number 5
loop_
_symmetry_equiv_pos_as_xyz
'x,y,z'
'-x,y,-z'
'x+1/2,y+1/2,z'
'-x+1/2,y+1/2,-z'
loop_
_atom_site_label
_atom_site_type_symbol
_atom_site_fract_x
_atom_site_fract_y
_atom_site_fract_z
Ho1 Ho 0.1408 0.0000 0.4839
Ho2 Ho 0.1427 0.6996 0.7953
V1 V 0.0000 0.1648 0.0000
V2 V 0.9996 0.3528 0.3405
V3 V 0.0000 0.4868 0.0000
V4 V 0.1623 0.8310 0.1646
O1 O 0.0000 0.2004 0.5000
O2 O 0.0000 0.5117 0.5000
O3 O 0.0000 0.8506 0.5000
O4 O 0.0020 0.8464 0.8472
O5 O 0.0250 0.5322 0.8234
O6 O 0.0321 0.1771 0.2400
O7 O 0.1474 0.3473 0.1462
O8 O 0.1699 0.0615 0.1396
O9 O 0.1829 0.6331 0.2111
O10 O 0.2087 0.3256 0.8918
O11 O 0.2120 0.3830 0.5349
```



Record 2
The following is a computed X-ray diffraction stick pattern of Ho2V2O7. It was derived from a GGA+U-relaxed structure, using Cu Kα (weighted mean of Kα1 and Kα2).

Most intense lines, 5° ≤ 2θ ≤ 70°, low angle first:
d (Å)	I/Imax	h k l
5.824	30	1 1 1
3.042	16	3 1 1
2.912	100	2 2 2
2.522	30	4 0 0
2.314	20	3 3 1
1.941	10	5 1 1
1.783	48	4 4 0
1.705	9	5 3 1
1.538	2	5 3 3
1.521	41	6 2 2
1.456	9	4 4 4
1.413	5	7 1 1

Cell and atoms:
abc: 10.0883 10.0883 10.0883
angles: 90.00 90.00 90.00
Space group Fd-3m (No. 227, origin choice 2)
One atom of each set of equivalent atoms:
Ho 0.0000 0.0000 0.0000 x16
V 0.0000 0.0000 0.5000 x16
O 0.0820 0.3750 0.8750 x48
O 0.1250 0.1250 0.1250 x8



Record 3
The following is a computed X-ray diffraction stick pattern of HoW2O6. It was derived from a GGA+U-relaxed structure, using Cu Kα (weighted mean of Kα1 and Kα2).

Most intense lines, 5° ≤ 2θ ≤ 70°, low angle first:
d (Å)	I/Imax	h k l
4.598	18	0 1 1
4.450	21	1 1 0
3.916	43	1 0 1
2.838	22	0 0 2
2.771	100	1 2 -1
2.702	24	2 0 0
1.960	24	0 4 0
1.785	10	1 0 3
1.625	14	1 2 -3
1.587	11	2 4 0
1.573	22	3 2 -1
1.385	12	2 4 -2

Cell and atoms:
```
data_HoW2O6
_chemical_formula_sum 'Ho2 W4 O12'
_cell_length_a 5.4036
_cell_length_b 7.8462
_cell_length_c 5.6753
_cell_angle_alpha 90.00
_cell_angle_beta 90.08
_cell_angle_gamma 90.00
_symmetry_space_group_name_H-M 'P 1 m 1'
_symmetry_Int_Tables_number 6
loop_
_symmetry_equiv_pos_as_xyz
'x,y,z'
'x,-y,z'
loop_
_atom_site_label
_atom_site_type_symbol
_atom_site_fract_x
_atom_site_fract_y
_atom_site_fract_z
Ho1 Ho 0.0000 0.0000 0.0000
Ho2 Ho 0.4880 0.5000 0.3606
W1 W 0.0114 0.2499 0.4374
W2 W 0.5152 0.2503 0.9168
O1 O 0.1048 0.0000 0.3876
O2 O 0.2211 0.2969 0.1613
O3 O 0.3306 0.3096 0.6175
O4 O 0.3992 0.0000 0.9048
O5 O 0.5967 0.5000 0.9729
O6 O 0.7351 0.2004 0.2069
O7 O 0.8471 0.1917 0.7276
O8 O 0.8900 0.5000 0.4524
```



Record 4
The following is a computed X-ray diffraction stick pattern of HoWO4. It was derived from a GGA+U-relaxed structure, using Cu Kα (weighted mean of Kα1 and Kα2).

Most intense lines, 5° ≤ 2θ ≤ 70°, low angle first:
d (Å)	I/Imax	h k l
3.541	59	0 2 0
3.431	51	2 0 0
2.757	100	1 1 1
2.464	30	2 2 0
1.854	41	1 3 1
1.821	35	3 1 1
1.715	9	4 0 0
1.544	10	4 2 0
1.505	10	0 2 2
1.497	9	2 0 2
1.473	21	3 3 1
1.378	11	2 2 2

Cell and atoms:
```
data_HoWO4
_chemical_formula_sum 'Ho2 W2 O8'
_cell_length_a 6.8613
_cell_length_b 7.0819
_cell_length_c 3.3262
_cell_angle_alpha 90.00
_cell_angle_beta 90.00
_cell_angle_gamma 90.00
_symmetry_space_group_name_H-M 'C m m m'
_symmetry_Int_Tables_number 65
_symmetry_space_group_name_Hall '-C 2 2'
loop_
_atom_site_label
_atom_site_type_symbol
_atom_site_fract_x
_atom_site_fract_y
_atom_site_fract_z
Ho1 Ho 0.0000 0.0000 0.0000
W1 W 0.0000 0.5000 0.5000
O1 O 0.0000 0.3214 0.0000
O2 O 0.2178 0.0000 0.5000
```